# 1
Computed powder XRD pattern
Compound: Ir3Se
Radiation: copper Kα
Structure: DFT lattice parameters and positions (GGA-PBE)
Neutral-atom scattering factors, no anomalous dispersion.

Cell lengths 4.0298, 4.0298, 7.5727 Å; angles 90.00, 90.00, 90.00 degrees
Space group I4/mmm (No. 139)
Inequivalent atoms, fractional coordinates:
Ir 0.0000 0.0000 0.0000 [2 per cell]
Ir 0.0000 0.5000 0.2500 [4 per cell]
Se 0.0000 0.0000 0.5000 [2 per cell]

Main lines, in order of falling intensity (2θ = 10–90°):
| 2θ/deg | d_spacing | intensity |
| --- | --- | --- |
| 39.6 | 2.277 | 100 |
| 45.0 | 2.015 | 35 |
| 79.3 | 1.208 | 27 |
| 67.9 | 1.380 | 21 |
| 48.1 | 1.893 | 14 |
| 83.8 | 1.154 | 12 |
| 65.5 | 1.425 | 11 |
| 85.2 | 1.138 | 11 |
| 25.0 | 3.557 | 9 |
| 52.2 | 1.753 | 3 |

***

# 2
Computed powder XRD pattern
Compound: BaPuO3
Radiation: copper Kα
Structure: DFT lattice parameters and positions (GGA-PBE)
Neutral-atom scattering factors, no anomalous dispersion.

Cell lengths 4.4126, 4.4126, 4.4126 Å; angles 90.00, 90.00, 90.00 degrees
Space group Pm-3m (No. 221)
Inequivalent atoms, fractional coordinates:
Ba 0.0000 0.0000 0.0000 [1 per cell]
Pu 0.5000 0.5000 0.5000 [1 per cell]
O 0.0000 0.5000 0.5000 [3 per cell]

Main lines, in order of falling intensity (2θ = 10–90°):
| 2θ/deg | d_spacing | intensity |
| --- | --- | --- |
| 28.6 | 3.120 | 100 |
| 50.7 | 1.801 | 43 |
| 40.9 | 2.206 | 27 |
| 81.6 | 1.179 | 23 |
| 67.1 | 1.395 | 19 |
| 59.2 | 1.560 | 18 |
| 20.1 | 4.413 | 13 |
| 46.0 | 1.973 | 7 |
| 74.5 | 1.274 | 6 |
| 63.2 | 1.471 | 3 |

***

# 3
Computed powder XRD pattern
Compound: Gd3CuGeS7
Radiation: copper Kα
Structure: DFT lattice parameters and positions (GGA-PBE)
Neutral-atom scattering factors, no anomalous dispersion.

Cell lengths 9.9964, 9.9964, 5.8360 Å; angles 90.00, 90.00, 120.00 degrees
Space group P6_3 (No. 173)
Inequivalent atoms, fractional coordinates:
Gd 0.1299 0.7731 0.0000 [6 per cell]
Cu 0.0000 0.0000 0.4567 [2 per cell]
Ge 0.3333 0.6667 0.5833 [2 per cell]
S 0.0951 0.8389 0.4700 [6 per cell]
S 0.1002 0.5192 0.7424 [6 per cell]
S 0.3333 0.6667 0.2054 [2 per cell]

Main lines, in order of falling intensity (2θ = 10–90°):
| 2θ/deg | d_spacing | intensity |
| --- | --- | --- |
| 25.6 | 3.477 | 100 |
| 35.9 | 2.499 | 46 |
| 41.5 | 2.178 | 36 |
| 37.5 | 2.401 | 33 |
| 40.6 | 2.220 | 30 |
| 23.4 | 3.796 | 28 |
| 30.6 | 2.918 | 26 |
| 47.9 | 1.898 | 26 |
| 27.3 | 3.272 | 24 |
| 49.1 | 1.854 | 21 |

***

# 4
Computed powder XRD pattern
Compound: AlHg3O2F6
Radiation: copper Kα
Structure: DFT lattice parameters and positions (GGA-PBE)
Neutral-atom scattering factors, no anomalous dispersion.

Cell lengths 7.4156, 7.4156, 10.5228 Å; angles 90.00, 90.00, 120.00 degrees
Space group R-3m (No. 166, hexagonal axes)
Inequivalent atoms, fractional coordinates:
Al 0.0000 0.0000 0.0000 [3 per cell]
Hg 0.0000 0.5000 0.0000 [9 per cell]
O 0.0000 0.0000 0.3736 [6 per cell]
F 0.0996 0.5498 0.7651 [18 per cell]

Main lines, in order of falling intensity (2θ = 10–90°):
| 2θ/deg | d_spacing | intensity |
| --- | --- | --- |
| 29.1 | 3.071 | 100 |
| 32.7 | 2.741 | 58 |
| 25.4 | 3.508 | 46 |
| 44.5 | 2.035 | 36 |
| 56.1 | 1.639 | 35 |
| 49.1 | 1.854 | 28 |
| 51.9 | 1.760 | 24 |
| 16.2 | 5.482 | 23 |
| 38.0 | 2.365 | 18 |
| 74.5 | 1.274 | 16 |

***

# 5
Computed powder XRD pattern
Compound: TaTiTe4
Radiation: copper Kα
Structure: DFT lattice parameters and positions (GGA-PBE)
Neutral-atom scattering factors, no anomalous dispersion.

Cell lengths 3.7363, 3.7363, 14.1328 Å; angles 90.00, 90.00, 120.00 degrees
Space group P-3m1 (No. 164)
Inequivalent atoms, fractional coordinates:
Ta 0.0000 0.0000 0.0000 [1 per cell]
Ti 0.0000 0.0000 0.5000 [1 per cell]
Te 0.3333 0.6667 0.1281 [2 per cell]
Te 0.3333 0.6667 0.6229 [2 per cell]

Main lines, in order of falling intensity (2θ = 10–90°):
| 2θ/deg | d_spacing | intensity |
| --- | --- | --- |
| 30.4 | 2.942 | 100 |
| 37.7 | 2.386 | 53 |
| 48.7 | 1.868 | 29 |
| 12.5 | 7.066 | 29 |
| 47.8 | 1.904 | 28 |
| 73.8 | 1.284 | 17 |
| 58.5 | 1.577 | 15 |
| 79.5 | 1.205 | 12 |
| 63.2 | 1.471 | 11 |
| 83.7 | 1.156 | 10 |

***

# 6
Computed powder XRD pattern
Compound: Pb3O
Radiation: copper Kα
Structure: DFT lattice parameters and positions (GGA-PBE)
Neutral-atom scattering factors, no anomalous dispersion.

Cell lengths 7.3571, 7.3571, 7.3571 Å; angles 90.00, 90.00, 90.00 degrees
Space group Fm-3m (No. 225)
Inequivalent atoms, fractional coordinates:
Pb 0.0000 0.0000 0.0000 [4 per cell]
Pb 0.2500 0.2500 0.2500 [8 per cell]
O 0.0000 0.0000 0.5000 [4 per cell]

Main lines, in order of falling intensity (2θ = 10–90°):
| 2θ/deg | d_spacing | intensity |
| --- | --- | --- |
| 34.5 | 2.601 | 100 |
| 61.8 | 1.502 | 38 |
| 20.9 | 4.248 | 20 |
| 49.6 | 1.839 | 18 |
| 83.0 | 1.163 | 17 |
| 72.7 | 1.301 | 12 |
| 40.7 | 2.218 | 12 |
| 24.2 | 3.679 | 11 |
| 54.4 | 1.688 | 5 |
| 55.9 | 1.645 | 5 |

***

# 7
Computed powder XRD pattern
Compound: YB2Pd2C
Radiation: copper Kα
Structure: DFT lattice parameters and positions (GGA-PBE)
Neutral-atom scattering factors, no anomalous dispersion.

Cell lengths 3.7903, 3.7903, 10.7592 Å; angles 90.00, 90.00, 90.00 degrees
Space group I4/mmm (No. 139)
Inequivalent atoms, fractional coordinates:
Y 0.0000 0.0000 0.0000 [2 per cell]
B 0.0000 0.0000 0.3628 [4 per cell]
Pd 0.0000 0.5000 0.2500 [4 per cell]
C 0.0000 0.0000 0.5000 [2 per cell]

Main lines, in order of falling intensity (2θ = 10–90°):
| 2θ/deg | d_spacing | intensity |
| --- | --- | --- |
| 37.5 | 2.399 | 100 |
| 48.0 | 1.896 | 35 |
| 33.3 | 2.690 | 32 |
| 16.5 | 5.380 | 27 |
| 59.7 | 1.549 | 23 |
| 62.3 | 1.490 | 23 |
| 82.4 | 1.170 | 19 |
| 24.9 | 3.575 | 13 |
| 34.4 | 2.605 | 11 |
| 80.0 | 1.199 | 11 |

***

# 8
Computed powder XRD pattern
Compound: LuGa3
Radiation: copper Kα
Structure: DFT lattice parameters and positions (GGA-PBE)
Neutral-atom scattering factors, no anomalous dispersion.

Cell lengths 4.2226, 4.2226, 4.2226 Å; angles 90.00, 90.00, 90.00 degrees
Space group Pm-3m (No. 221)
Inequivalent atoms, fractional coordinates:
Lu 0.0000 0.0000 0.0000 [1 per cell]
Ga 0.0000 0.5000 0.5000 [3 per cell]

Main lines, in order of falling intensity (2θ = 10–90°):
| 2θ/deg | d_spacing | intensity |
| --- | --- | --- |
| 36.9 | 2.438 | 100 |
| 42.8 | 2.111 | 49 |
| 74.5 | 1.273 | 37 |
| 62.2 | 1.493 | 32 |
| 21.0 | 4.223 | 20 |
| 29.9 | 2.986 | 16 |
| 78.5 | 1.219 | 11 |
| 48.2 | 1.888 | 9 |
| 53.1 | 1.724 | 7 |
| 66.4 | 1.408 | 5 |

***

# 9
Computed powder XRD pattern
Compound: LiAlPd
Radiation: copper Kα
Structure: DFT lattice parameters and positions (GGA-PBE)
Neutral-atom scattering factors, no anomalous dispersion.

Cell lengths 7.3052, 4.2153, 2.7356 Å; angles 90.00, 90.12, 90.00 degrees
Space group Cm (No. 8)
Inequivalent atoms, fractional coordinates:
Li 0.0000 0.0000 0.0000 [2 per cell]
Al 0.3333 0.0000 0.0000 [2 per cell]
Pd 0.1666 0.5000 0.5000 [2 per cell]

Main lines, in order of falling intensity (2θ = 10–90°):
| 2θ/deg | d_spacing | intensity |
| --- | --- | --- |
| 24.4 | 3.652 | 100 |
| 41.2 | 2.189 | 87 |
| 42.9 | 2.108 | 48 |
| 50.0 | 1.826 | 14 |
| 61.0 | 1.520 | 13 |
| 61.1 | 1.518 | 13 |
| 77.4 | 1.233 | 13 |
| 77.5 | 1.232 | 13 |
| 67.9 | 1.380 | 11 |
| 32.7 | 2.736 | 10 |

***

# 10
Computed powder XRD pattern
Compound: Y5Si14Os4
Radiation: copper Kα
Structure: DFT lattice parameters and positions (GGA-PBE)
Neutral-atom scattering factors, no anomalous dispersion.

Cell lengths 12.8241, 8.0690, 7.9711 Å; angles 90.00, 98.80, 90.00 degrees
Space group P2_1/c (No. 14)
Inequivalent atoms, fractional coordinates:
Y 0.0000 0.0000 0.0000 [2 per cell]
Y 0.3639 0.2461 0.3416 [4 per cell]
Y 0.3659 0.7484 0.3382 [4 per cell]
Si 0.9996 0.1676 0.3339 [4 per cell]
Si 0.1793 0.0077 0.7628 [4 per cell]
Si 0.1789 0.2206 0.5501 [4 per cell]
Si 0.1791 0.5052 0.8226 [4 per cell]
Si 0.1795 0.7209 0.0380 [4 per cell]
Si 0.4407 0.0003 0.1055 [4 per cell]
Si 0.4470 0.5007 0.1124 [4 per cell]
Os 0.0014 0.6262 0.8714 [4 per cell]
Os 0.2531 0.5010 0.5618 [4 per cell]

Main lines, in order of falling intensity (2θ = 10–90°):
| 2θ/deg | d_spacing | intensity |
| --- | --- | --- |
| 36.0 | 2.493 | 100 |
| 19.9 | 4.461 | 95 |
| 33.3 | 2.688 | 88 |
| 35.6 | 2.520 | 80 |
| 35.3 | 2.545 | 69 |
| 21.0 | 4.224 | 68 |
| 65.9 | 1.418 | 67 |
| 22.2 | 4.000 | 63 |
| 36.3 | 2.474 | 48 |
| 17.9 | 4.953 | 44 |

***

# 11
Computed powder XRD pattern
Compound: K2Te2Pd
Radiation: copper Kα
Structure: DFT lattice parameters and positions (GGA-PBE)
Neutral-atom scattering factors, no anomalous dispersion.

Cell lengths 4.0777, 7.9917, 10.4361 Å; angles 90.00, 90.00, 90.00 degrees
Space group Immm (No. 71)
Inequivalent atoms, fractional coordinates:
K 0.0000 0.0000 0.1993 [4 per cell]
Te 0.0000 0.2189 0.5000 [4 per cell]
Pd 0.0000 0.5000 0.0000 [2 per cell]

Main lines, in order of falling intensity (2θ = 10–90°):
| 2θ/deg | d_spacing | intensity |
| --- | --- | --- |
| 32.5 | 2.753 | 100 |
| 17.0 | 5.218 | 78 |
| 14.0 | 6.345 | 50 |
| 44.2 | 2.051 | 31 |
| 40.9 | 2.206 | 30 |
| 54.5 | 1.685 | 29 |
| 28.0 | 3.190 | 29 |
| 34.4 | 2.609 | 24 |
| 28.1 | 3.172 | 19 |
| 30.0 | 2.981 | 15 |